(1)
Diffraction record for Ac3TmGe2N6. The X-ray powder pattern is simulated, not measured: it uses a PBE-relaxed structure and Cu Kα (weighted mean of Kα1 and Kα2).
Intensities are scaled so that the largest is 100.

Crystal structure
```
data_Ac3TmGe2N6
_chemical_formula_sum 'Ac3 Tm1 Ge2 N6'
_cell_length_a 6.0600
_cell_length_b 6.0600
_cell_length_c 6.6997
_cell_angle_alpha 90.00
_cell_angle_beta 90.00
_cell_angle_gamma 120.00
_symmetry_space_group_name_H-M 'P 1'
_symmetry_Int_Tables_number 1
_symmetry_space_group_name_Hall 'P 1'
loop_
_atom_site_label
_atom_site_fract_x
_atom_site_fract_y
_atom_site_fract_z
_atom_site_occupancy
Ac1 0.0000 0.0000 0.0000 1
Ac2 0.3333 0.6667 0.6363 1
Ac3 0.6667 0.3333 0.3637 1
Tm1 0.0000 0.0000 0.5000 1
Ge1 0.3333 0.6667 0.1774 1
Ge2 0.6667 0.3333 0.8226 1
N1 0.1730 0.3459 0.2972 1
N2 0.1730 0.8270 0.2972 1
N3 0.3459 0.1730 0.7028 1
N4 0.6541 0.8270 0.2972 1
N5 0.8270 0.1730 0.7028 1
N6 0.8270 0.6541 0.7028 1
```

Largest 8 diffraction maxima, by intensity, 10° ≤ 2θ ≤ 80°:
2theta	intensity
29.5	100.0
31.7	78.3
43.8	39.1
53.7	36.2
21.5	21.2
52.3	21.0
70.5	16.4
61.2	15.5

=====

(2)
Diffraction record for BaLiAsF6. The X-ray powder pattern is simulated, not measured: it uses a PBE-relaxed structure and Cu Kα (weighted mean of Kα1 and Kα2).
Intensities are scaled so that the largest is 100.

Crystal structure
```
data_BaLiAsF6
_chemical_formula_sum 'Ba1 Li1 As1 F6'
_cell_length_a 5.5031
_cell_length_b 5.5031
_cell_length_c 5.6601
_cell_angle_alpha 90.15
_cell_angle_beta 90.15
_cell_angle_gamma 120.52
_symmetry_space_group_name_H-M 'P 1'
_symmetry_Int_Tables_number 1
_symmetry_space_group_name_Hall 'P 1'
loop_
_atom_site_label
_atom_site_fract_x
_atom_site_fract_y
_atom_site_fract_z
_atom_site_occupancy
Ba1 0.0000 0.0000 0.0000 1
Li1 0.6652 0.3348 0.5000 1
As1 0.3336 0.6664 0.5000 1
F1 0.0068 0.6296 0.7034 1
F2 0.3704 0.9932 0.2966 1
F3 0.3785 0.3794 0.7099 1
F4 0.6206 0.6215 0.2901 1
F5 0.6239 0.0005 0.7066 1
F6 0.9995 0.3761 0.2934 1
```

Largest 8 diffraction maxima, by intensity, 10° ≤ 2θ ≤ 80°:
2theta	intensity
24.4	100.0
24.5	48.9
18.7	24.3
45.9	23.6
46.1	17.0
32.5	16.2
36.9	13.7
18.6	12.3

=====

(3)
Diffraction record for Pm2PrErTm. The X-ray powder pattern is simulated, not measured: it uses a PBE-relaxed structure and Cu Kα (weighted mean of Kα1 and Kα2).
Intensities are scaled so that the largest is 100.

Crystal structure
```
data_Pm2PrErTm
_chemical_formula_sum 'Pm4 Pr2 Er2 Tm2'
_cell_length_a 7.1711
_cell_length_b 7.1711
_cell_length_c 7.2798
_cell_angle_alpha 90.00
_cell_angle_beta 90.00
_cell_angle_gamma 107.83
_symmetry_space_group_name_H-M 'P 1'
_symmetry_Int_Tables_number 1
_symmetry_space_group_name_Hall 'P 1'
loop_
_atom_site_label
_atom_site_fract_x
_atom_site_fract_y
_atom_site_fract_z
_atom_site_occupancy
Pm1 0.1930 0.1930 0.0000 1
Pm2 0.1930 0.1930 0.5000 1
Pm3 0.8070 0.8070 0.0000 1
Pm4 0.8070 0.8070 0.5000 1
Pr1 0.2284 0.7716 0.7500 1
Pr2 0.7716 0.2284 0.2500 1
Er1 0.4971 0.5029 0.7500 1
Er2 0.5029 0.4971 0.2500 1
Tm1 0.2270 0.7730 0.2500 1
Tm2 0.7730 0.2270 0.7500 1
```

Largest 8 diffraction maxima, by intensity, 10° ≤ 2θ ≤ 80°:
2theta	intensity
32.5	100.0
45.4	68.8
30.9	61.2
29.0	50.7
35.5	50.5
26.1	45.4
39.6	36.4
27.8	31.2